No. 1
For TmInNi4, the GGA-PBE geometry in the Materials Project gives the simulated powder diffraction line list in this record (copper Kα).

Top 9 peaks for 5° ≤ 2θ ≤ 70°, in order of rising 2θ:
- 2θ 22.00, I = 10.1
- 2θ 25.45, I = 2.5
- 2θ 36.30, I = 58.3
- 2θ 42.85, I = 100.0
- 2θ 44.86, I = 18.3
- 2θ 57.38, I = 2.8
- 2θ 59.02, I = 1.0
- 2θ 65.31, I = 20.7
- 2θ 69.82, I = 29.8

Atomic structure:
```
6
Lattice="0.000 3.500 3.500 3.500 0.000 3.500 3.500 3.500 0.000" Properties=species:S:1:pos:R:3 pbc="T T T"
Tm 0.000 0.000 0.000
In 5.250 5.250 5.250
Ni 2.630 2.630 2.630
Ni 4.370 4.370 2.630
Ni 4.370 2.630 4.370
Ni 2.630 4.370 4.370
```

No. 2
For SrPrZnRuO6, the GGA-PBE geometry in the Materials Project gives the simulated powder diffraction line list in this record (copper Kα).

Top 10 peaks for 5° ≤ 2θ ≤ 70°, in order of rising 2θ:
- 2θ 31.19, I = 22.4
- 2θ 31.69, I = 100.0
- 2θ 31.87, I = 24.9
- 2θ 45.19, I = 25.1
- 2θ 45.67, I = 14.8
- 2θ 46.69, I = 7.5
- 2θ 55.82, I = 13.0
- 2θ 56.34, I = 9.7
- 2θ 56.69, I = 28.4
- 2θ 66.21, I = 15.5

Atomic structure:
```
20
Lattice="5.616 0.000 0.000 0.000 5.735 0.000 -5.608 0.000 7.945" Properties=species:S:1:pos:R:3 pbc="T T T"
Sr 0.000 1.215 0.000
Sr -2.804 4.520 3.973
Pr 0.122 1.757 3.961
Pr -2.682 3.978 7.934
Zn -2.759 1.377 5.948
Zn 0.045 4.359 1.975
Ru 2.848 1.421 1.991
Ru 0.044 4.314 5.964
O -2.243 1.342 3.915
O -5.047 4.393 7.888
O 2.451 1.579 0.062
O -0.353 4.156 4.035
O 1.225 0.315 2.355
O -1.579 5.420 6.328
O -1.133 2.736 6.303
O 1.671 3.000 2.331
O 1.108 0.225 5.592
O 3.912 5.511 1.620
O 4.386 2.639 1.678
O 1.583 3.096 5.651
```

No. 3
For SmScSi, the GGA-PBE geometry in the Materials Project gives the simulated powder diffraction line list in this record (copper Kα).

Top 10 peaks for 5° ≤ 2θ ≤ 70°, in order of rising 2θ:
- 2θ 26.96, I = 100.0
- 2θ 29.64, I = 43.8
- 2θ 31.80, I = 75.8
- 2θ 34.20, I = 28.0
- 2θ 35.46, I = 54.4
- 2θ 37.60, I = 32.5
- 2θ 42.42, I = 45.7
- 2θ 50.98, I = 35.6
- 2θ 55.58, I = 27.1
- 2θ 56.45, I = 28.3

Atomic structure:
```
6
Lattice="-2.131 2.131 7.866 2.131 -2.131 7.866 2.131 2.131 -7.866" Properties=species:S:1:pos:R:3 pbc="T T T"
Sm 0.000 0.000 2.785
Sm 0.000 0.000 12.946
Sc 2.131 0.000 0.000
Sc 0.000 2.131 0.000
Si 0.000 0.000 5.915
Si 0.000 0.000 9.817
```

No. 4
For OsCl4, the GGA-PBE geometry in the Materials Project gives the simulated powder diffraction line list in this record (copper Kα).

Top 10 peaks for 5° ≤ 2θ ≤ 70°, in order of rising 2θ:
- 2θ 14.40, I = 100.0
- 2θ 19.58, I = 26.8
- 2θ 21.21, I = 16.3
- 2θ 24.53, I = 11.2
- 2θ 28.55, I = 17.7
- 2θ 31.58, I = 30.7
- 2θ 33.58, I = 17.9
- 2θ 40.30, I = 21.4
- 2θ 51.16, I = 13.7
- 2θ 54.48, I = 14.9

Atomic structure:
```
5
Lattice="4.188 -4.534 0.000 4.188 4.534 0.000 0.000 0.000 3.629" Properties=species:S:1:pos:R:3 pbc="T T T"
Os 0.000 0.000 0.000
Cl 4.188 2.970 1.815
Cl 2.273 0.000 0.000
Cl 6.103 0.000 0.000
Cl 4.188 -2.970 1.815
```

No. 5
For Mg2SiPt, the GGA-PBE geometry in the Materials Project gives the simulated powder diffraction line list in this record (copper Kα).

Top 10 peaks for 5° ≤ 2θ ≤ 70°, in order of rising 2θ:
- 2θ 20.78, I = 54.1
- 2θ 23.82, I = 25.8
- 2θ 26.03, I = 100.0
- 2θ 39.78, I = 71.7
- 2θ 41.89, I = 51.5
- 2θ 47.21, I = 38.0
- 2θ 49.99, I = 17.6
- 2θ 59.15, I = 22.5
- 2θ 61.04, I = 17.6
- 2θ 67.21, I = 14.8

Atomic structure:
```
8
Lattice="4.313 0.000 0.000 -2.156 3.735 0.000 0.000 0.000 8.550" Properties=species:S:1:pos:R:3 pbc="T T T"
Mg 0.000 2.490 0.720
Mg 0.000 2.490 3.555
Mg 2.156 1.245 4.995
Mg 2.156 1.245 7.830
Si 0.000 0.000 2.138
Si 0.000 0.000 6.413
Pt 0.000 2.490 6.413
Pt 2.156 1.245 2.138
```

No. 6
For Na2ZrSi2O8, the GGA-PBE geometry in the Materials Project gives the simulated powder diffraction line list in this record (copper Kα).

Top 10 peaks for 5° ≤ 2θ ≤ 70°, in order of rising 2θ:
- 2θ 13.32, I = 66.4
- 2θ 18.66, I = 37.1
- 2θ 18.94, I = 36.2
- 2θ 20.15, I = 36.9
- 2θ 22.38, I = 49.5
- 2θ 23.60, I = 58.3
- 2θ 31.99, I = 60.1
- 2θ 32.45, I = 54.0
- 2θ 32.97, I = 100.0
- 2θ 33.74, I = 40.1

Atomic structure:
```
26
Lattice="2.764 -4.686 0.000 2.764 4.686 0.000 -0.854 0.000 13.296" Properties=species:S:1:pos:R:3 pbc="T T T"
Na 2.338 4.340 6.648
Na 2.584 1.728 1.966
Na 2.157 -1.728 8.614
Na 2.764 -4.340 0.000
Zr -0.111 0.009 3.363
Zr -0.538 -0.009 10.011
Si 2.236 1.452 8.223
Si 2.702 1.443 5.055
Si 2.663 -1.452 1.575
Si 2.275 -1.443 11.703
O 0.731 0.861 8.434
O 2.508 2.790 4.156
O 2.486 2.882 8.970
O 1.534 0.367 4.634
O 1.158 -0.861 1.786
O 2.484 1.868 6.630
O 1.107 -0.367 11.282
O 2.090 0.993 13.013
O 2.517 -0.993 6.365
O 3.384 0.355 8.633
O 4.187 0.828 4.800
O 2.057 -1.868 13.278
O 3.811 -0.355 1.985
O 2.081 -2.790 10.804
O 2.913 -2.882 2.322
O 3.760 -0.828 11.448
```